1.
# PrTl2Te2O6
Calculated PXRD pattern, Cu Kα X-rays. Input: the GGA-PBE geometry in Alexandria.

Most intense lines, 2θ = 10–90°, by angle:
25.08 deg, intensity 72; 27.55 deg, intensity 52; 28.89 deg, intensity 100; 29.32 deg, intensity 80; 31.15 deg, intensity 17; 37.60 deg, intensity 36; 46.60 deg, intensity 33; 46.89 deg, intensity 25; 49.29 deg, intensity 14; 50.13 deg, intensity 19

Crystal structure
Lattice parameters (Å, degrees): 6.2112 6.2112 6.8719 108.26 108.26 69.74
Element x y z (fractional)
Pr 0.0000 0.0000 0.0000
Tl 0.1848 0.1848 0.6192
Tl 0.8152 0.8152 0.3808
Te 0.4442 0.4442 0.2609
Te 0.5558 0.5558 0.7391
O 0.1724 0.7389 0.2346
O 0.2504 0.2504 0.2193
O 0.2611 0.8276 0.7654
O 0.7389 0.1724 0.2346
O 0.7496 0.7496 0.7807
O 0.8276 0.2611 0.7654

---

2.
# Li3TiO4
Calculated PXRD pattern, Cu Kα X-rays. Input: the GGA-PBE geometry in Alexandria.

Most intense lines, 2θ = 10–90°, by angle:
14.86 deg, intensity 35; 19.65 deg, intensity 100; 25.49 deg, intensity 71; 26.62 deg, intensity 43; 29.84 deg, intensity 87; 29.98 deg, intensity 42; 44.78 deg, intensity 49; 53.14 deg, intensity 51; 54.77 deg, intensity 35; 71.97 deg, intensity 39

Crystal structure
Lattice parameters (Å, degrees): 4.0481 6.9269 5.9613 90.00 90.00 90.00
Element x y z (fractional)
Li 0.2500 0.0151 0.1595
Li 0.2500 0.4849 0.1595
Li 0.2500 0.7500 0.6858
Li 0.7500 0.2500 0.3142
Li 0.7500 0.5151 0.8405
Li 0.7500 0.9849 0.8405
Ti 0.2500 0.2500 0.6651
Ti 0.7500 0.7500 0.3349
O 0.2500 0.0201 0.8229
O 0.2500 0.2500 0.3546
O 0.2500 0.4799 0.8229
O 0.2500 0.7500 0.3325
O 0.7500 0.2500 0.6675
O 0.7500 0.5201 0.1771
O 0.7500 0.7500 0.6454
O 0.7500 0.9799 0.1771

---

3.
# KAc2Tb3Te6
Calculated PXRD pattern, Cu Kα X-rays. Input: the GGA-PBE geometry in Alexandria.

Most intense lines, 2θ = 10–90°, by angle:
27.59 deg, intensity 100; 38.56 deg, intensity 13; 38.86 deg, intensity 25; 39.96 deg, intensity 25; 40.28 deg, intensity 12; 49.00 deg, intensity 7; 49.51 deg, intensity 13; 56.97 deg, intensity 12; 63.67 deg, intensity 11; 65.21 deg, intensity 12

Crystal structure
Lattice parameters (Å, degrees): 10.3192 10.3192 9.3451 105.23 105.23 25.06
Element x y z (fractional)
K 0.0000 0.0000 0.0000
Ac 0.3305 0.3305 0.6594
Ac 0.6695 0.6695 0.3406
Tb 0.0000 0.0000 0.5000
Tb 0.3353 0.3353 0.1747
Tb 0.6647 0.6647 0.8253
Te 0.1596 0.1596 0.5966
Te 0.1734 0.1734 0.0693
Te 0.4965 0.4965 0.2667
Te 0.5035 0.5035 0.7333
Te 0.8266 0.8266 0.9307
Te 0.8404 0.8404 0.4034

---

4.
# Sm2P3Pd4Au
Calculated PXRD pattern, Cu Kα X-rays. Input: the GGA-PBE geometry in Alexandria.

Most intense lines, 2θ = 10–90°, by angle:
23.23 deg, intensity 13; 27.32 deg, intensity 17; 33.10 deg, intensity 38; 35.16 deg, intensity 100; 44.25 deg, intensity 39; 47.51 deg, intensity 19; 56.36 deg, intensity 22; 64.38 deg, intensity 17; 66.94 deg, intensity 13; 75.52 deg, intensity 21

Crystal structure
Lattice parameters (Å, degrees): 4.0936 4.0936 10.8241 90.00 90.00 90.00
Element x y z (fractional)
Sm 0.0000 0.5000 0.2364
Sm 0.5000 0.0000 0.7636
P 0.0000 0.5000 0.8705
P 0.5000 0.0000 0.1295
P 0.5000 0.5000 0.5000
Pd 0.0000 0.0000 0.0000
Pd 0.0000 0.5000 0.6587
Pd 0.5000 0.0000 0.3413
Pd 0.5000 0.5000 0.0000
Au 0.0000 0.0000 0.5000

---

5.
# La4MnCu6S10
Calculated PXRD pattern, Cu Kα X-rays. Input: the GGA-PBE geometry in Alexandria.

Most intense lines, 2θ = 10–90°, by angle:
19.91 deg, intensity 48; 24.05 deg, intensity 91; 26.15 deg, intensity 49; 28.35 deg, intensity 73; 30.34 deg, intensity 68; 30.99 deg, intensity 100; 34.75 deg, intensity 98; 38.10 deg, intensity 96; 39.48 deg, intensity 53; 40.79 deg, intensity 47

Crystal structure
Lattice parameters (Å, degrees): 6.6164 7.3069 8.8302 83.38 74.35 89.73
Element x y z (fractional)
La 0.0597 0.4104 0.2475
La 0.2775 0.0741 0.8279
La 0.7225 0.9259 0.1721
La 0.9403 0.5896 0.7525
Mn 0.5000 0.5000 0.5000
Cu 0.2248 0.7905 0.3481
Cu 0.3341 0.0964 0.4271
Cu 0.4416 0.6636 0.9518
Cu 0.5584 0.3364 0.0482
Cu 0.6659 0.9036 0.5729
Cu 0.7752 0.2095 0.6519
S 0.0879 0.7298 0.0004
S 0.1286 0.2959 0.5748
S 0.3183 0.8062 0.5841
S 0.3195 0.0924 0.1677
S 0.4721 0.5842 0.2183
S 0.5279 0.4158 0.7817
S 0.6805 0.9076 0.8323
S 0.6817 0.1938 0.4159
S 0.8714 0.7041 0.4252
S 0.9121 0.2702 0.9996

---

6.
# ReTc3
Calculated PXRD pattern, Cu Kα X-rays. Input: the GGA-PBE geometry in Alexandria.

Most intense lines, 2θ = 10–90°, by angle:
37.54 deg, intensity 25; 37.68 deg, intensity 14; 40.71 deg, intensity 38; 42.91 deg, intensity 100; 43.04 deg, intensity 47; 56.57 deg, intensity 15; 67.93 deg, intensity 16; 75.64 deg, intensity 27; 82.31 deg, intensity 19; 83.61 deg, intensity 14

Crystal structure
Lattice parameters (Å, degrees): 5.2217 5.2217 5.2217 149.24 63.81 125.59
Element x y z (fractional)
Re 0.0000 0.0000 0.0000
Tc 0.4136 0.6631 0.7505
Tc 0.5035 0.0035 0.5000
Tc 0.9127 0.6631 0.2495

---

7.
# Cd7In2Sn2
Calculated PXRD pattern, Cu Kα X-rays. Input: the GGA-PBE geometry in Alexandria.

Most intense lines, 2θ = 10–90°, by angle:
27.81 deg, intensity 23; 30.16 deg, intensity 21; 30.40 deg, intensity 29; 32.72 deg, intensity 38; 33.19 deg, intensity 60; 34.97 deg, intensity 100; 36.24 deg, intensity 27; 37.07 deg, intensity 84; 40.60 deg, intensity 23; 59.02 deg, intensity 18

Crystal structure
Lattice parameters (Å, degrees): 7.4627 7.4627 5.9260 112.49 112.49 86.93
Element x y z (fractional)
Cd 0.0000 0.0000 0.0000
Cd 0.0673 0.5817 0.8382
Cd 0.2818 0.2818 0.5561
Cd 0.4183 0.9327 0.1618
Cd 0.5817 0.0673 0.8382
Cd 0.7182 0.7182 0.4439
Cd 0.9327 0.4183 0.1618
In 0.3893 0.3893 0.1673
In 0.6106 0.6106 0.8327
Sn 0.1554 0.8446 0.5000
Sn 0.8446 0.1554 0.5000

---

8.
# ScPd3Pt4
Calculated PXRD pattern, Cu Kα X-rays. Input: the GGA-PBE geometry in Alexandria.

Most intense lines, 2θ = 10–90°, by angle:
15.70 deg, intensity 27; 39.01 deg, intensity 100; 39.19 deg, intensity 49; 39.32 deg, intensity 49; 45.14 deg, intensity 33; 45.68 deg, intensity 64; 66.08 deg, intensity 21; 66.25 deg, intensity 32; 79.18 deg, intensity 19; 79.79 deg, intensity 25

Crystal structure
Lattice parameters (Å, degrees): 4.9024 5.6436 9.2898 90.00 99.34 90.00
Element x y z (fractional)
Sc 0.0000 0.1221 0.2500
Sc 0.0000 0.8779 0.7500
Pd 0.2517 0.1272 0.0006
Pd 0.2517 0.8728 0.5006
Pd 0.5000 0.1321 0.7500
Pd 0.5000 0.8679 0.2500
Pd 0.7483 0.1272 0.4994
Pd 0.7483 0.8728 0.9994
Pt 0.0000 0.3762 0.7500
Pt 0.0000 0.6238 0.2500
Pt 0.2478 0.3750 0.4987
Pt 0.2478 0.6250 0.9987
Pt 0.5000 0.3705 0.2500
Pt 0.5000 0.6295 0.7500
Pt 0.7522 0.3750 0.0013
Pt 0.7522 0.6250 0.5013

---

9.
# LiTm3Tl
Calculated PXRD pattern, Cu Kα X-rays. Input: the GGA-PBE geometry in Alexandria.

Most intense lines, 2θ = 10–90°, by angle:
19.59 deg, intensity 11; 21.81 deg, intensity 12; 33.05 deg, intensity 100; 35.80 deg, intensity 42; 43.05 deg, intensity 10; 51.53 deg, intensity 15; 57.20 deg, intensity 18; 62.54 deg, intensity 16; 62.64 deg, intensity 16; 69.34 deg, intensity 10

Crystal structure
Lattice parameters (Å, degrees): 10.7995 10.7995 5.0220 90.00 90.00 153.17
Element x y z (fractional)
Li 0.1530 0.8470 0.7500
Li 0.8470 0.1530 0.2500
Tm 0.0554 0.9446 0.2500
Tm 0.2492 0.7508 0.2500
Tm 0.4400 0.5600 0.2500
Tm 0.5600 0.4400 0.7500
Tm 0.7508 0.2492 0.7500
Tm 0.9446 0.0554 0.7500
Tl 0.3419 0.6581 0.7500
Tl 0.6581 0.3419 0.2500

---

10.
# BaAcHg14
Calculated PXRD pattern, Cu Kα X-rays. Input: the GGA-PBE geometry in Alexandria.

Most intense lines, 2θ = 10–90°, by angle:
27.31 deg, intensity 37; 30.27 deg, intensity 28; 30.85 deg, intensity 100; 32.08 deg, intensity 24; 32.22 deg, intensity 24; 33.65 deg, intensity 84; 34.69 deg, intensity 29; 41.61 deg, intensity 47; 41.72 deg, intensity 44; 63.37 deg, intensity 26

Crystal structure
Lattice parameters (Å, degrees): 9.3068 9.3068 6.5309 110.38 110.38 95.88
Element x y z (fractional)
Ba 0.0000 0.0000 0.0000
Ac 0.5000 0.5000 0.5000
Hg 0.1310 0.3808 0.0134
Hg 0.1317 0.3764 0.5051
Hg 0.2186 0.7805 0.2740
Hg 0.2195 0.7814 0.7260
Hg 0.3764 0.1317 0.5051
Hg 0.3808 0.1310 0.0134
Hg 0.3942 0.6058 0.0000
Hg 0.6058 0.3942 0.0000
Hg 0.6192 0.8690 0.9866
Hg 0.6236 0.8683 0.4949
Hg 0.7805 0.2186 0.2740
Hg 0.7814 0.2195 0.7260
Hg 0.8683 0.6236 0.4949
Hg 0.8690 0.6192 0.9866

---

11.
# Rb2SmZn2Te4
Calculated PXRD pattern, Cu Kα X-rays. Input: the GGA-PBE geometry in Alexandria.

Most intense lines, 2θ = 10–90°, by angle:
10.93 deg, intensity 72; 25.32 deg, intensity 33; 25.95 deg, intensity 36; 28.10 deg, intensity 100; 28.32 deg, intensity 38; 29.80 deg, intensity 74; 32.95 deg, intensity 26; 37.34 deg, intensity 52; 37.90 deg, intensity 45; 46.70 deg, intensity 31

Crystal structure
Lattice parameters (Å, degrees): 8.6381 8.6381 8.5655 108.28 108.28 31.90
Element x y z (fractional)
Rb 0.1322 0.1322 0.0641
Rb 0.8678 0.8678 0.9359
Sm 0.0000 0.0000 0.5000
Zn 0.3263 0.3263 0.5046
Zn 0.6737 0.6737 0.4954
Te 0.2023 0.2023 0.6675
Te 0.4844 0.4844 0.7382
Te 0.5156 0.5156 0.2618
Te 0.7977 0.7977 0.3325

---

12.
# Pr6Tl3Pd
Calculated PXRD pattern, Cu Kα X-rays. Input: the GGA-PBE geometry in Alexandria.

Most intense lines, 2θ = 10–90°, by angle:
29.04 deg, intensity 38; 29.09 deg, intensity 80; 32.72 deg, intensity 100; 32.85 deg, intensity 50; 35.19 deg, intensity 27; 44.41 deg, intensity 24; 44.67 deg, intensity 28; 56.18 deg, intensity 24; 56.67 deg, intensity 14; 58.57 deg, intensity 19

Crystal structure
Lattice parameters (Å, degrees): 9.4926 12.1077 5.4525 90.00 90.00 90.00
Element x y z (fractional)
Pr 0.0047 0.2388 0.0000
Pr 0.1592 0.0817 0.5000
Pr 0.1782 0.4202 0.5000
Pr 0.3218 0.9202 0.0000
Pr 0.3408 0.5817 0.0000
Pr 0.4953 0.7388 0.5000
Pr 0.5047 0.2612 0.5000
Pr 0.6592 0.4183 0.0000
Pr 0.6782 0.0798 0.0000
Pr 0.8218 0.5798 0.5000
Pr 0.8408 0.9183 0.5000
Pr 0.9953 0.7612 0.0000
Tl 0.0000 0.5000 0.0000
Tl 0.1628 0.7421 0.5000
Tl 0.3372 0.2421 0.0000
Tl 0.5000 0.0000 0.5000
Tl 0.6628 0.7579 0.0000
Tl 0.8372 0.2579 0.5000
Pd 0.0000 0.0000 0.0000
Pd 0.5000 0.5000 0.5000